(1)
Computed XRD peak list
Compound: CoBrO
Radiation: Cu Kα (λ = 1.5418 Å)
Structure: a cell relaxed with GGA+U
Peak positions follow from Bragg's law for the DFT cell and can differ from measured ones.

Top 12 peaks for 2θ = 10–90°, sorted by position:
| d/Å | 2θ/deg | intensity |
| --- | --- | --- |
| 6.325 | 14.00 | 100 |
| 4.499 | 19.73 | 33 |
| 3.026 | 29.52 | 46 |
| 2.999 | 29.79 | 46 |
| 2.739 | 32.69 | 31 |
| 2.569 | 34.93 | 19 |
| 2.558 | 35.08 | 22 |
| 2.154 | 41.94 | 21 |
| 2.128 | 42.49 | 19 |
| 2.107 | 42.92 | 29 |
| 2.092 | 43.25 | 20 |
| 1.659 | 55.40 | 29 |

Structural model:
```
data_CoBrO
_cell_length_a 5.8180
_cell_length_b 6.3997
_cell_length_c 12.6519
_cell_angle_alpha 90.10
_cell_angle_beta 90.71
_cell_angle_gamma 90.03
_symmetry_space_group_name_H-M 'P 1'
_symmetry_Int_Tables_number 1
loop_
_symmetry_equiv_pos_as_xyz
'x,y,z'
loop_
_atom_site_label
_atom_site_type_symbol
_atom_site_fract_x
_atom_site_fract_y
_atom_site_fract_z
Co1 Co 0.0000 0.0000 0.0000
Co2 Co 0.0003 0.4991 0.4951
Co3 Co 0.4217 0.2628 0.9921
Co4 Co 0.4258 0.7636 0.4972
Co5 Co 0.4991 0.7624 0.0003
Co6 Co 0.5017 0.2630 0.4899
Co7 Co 0.9226 0.5003 0.9917
Co8 Co 0.9346 0.0119 0.5007
Br1 Br 0.1417 0.2142 0.3557
Br2 Br 0.1458 0.7218 0.1380
Br3 Br 0.2693 0.0439 0.6352
Br4 Br 0.2755 0.5407 0.8544
Br5 Br 0.6406 0.5392 0.3527
Br6 Br 0.6449 0.0424 0.1384
Br7 Br 0.7710 0.7160 0.6385
Br8 Br 0.7764 0.2201 0.8539
O1 O 0.0919 0.7708 0.4521
O2 O 0.1003 0.2734 0.0450
O3 O 0.3213 0.9892 0.9473
O4 O 0.3249 0.4902 0.5420
O5 O 0.6009 0.4897 0.0448
O6 O 0.6117 0.9883 0.4493
O7 O 0.8186 0.2737 0.5456
O8 O 0.8207 0.7728 0.9475
```

(2)
Computed XRD peak list
Compound: KCr12Si8BrO28
Radiation: Cu Kα (λ = 1.5418 Å)
Structure: a cell relaxed with GGA+U
Peak positions follow from Bragg's law for the DFT cell and can differ from measured ones.

Top 12 peaks for 2θ = 10–90°, sorted by position:
| d/Å | 2θ/deg | intensity |
| --- | --- | --- |
| 8.255 | 10.72 | 29 |
| 5.291 | 16.76 | 37 |
| 4.454 | 19.93 | 21 |
| 3.408 | 26.15 | 100 |
| 3.254 | 27.41 | 59 |
| 2.984 | 29.94 | 38 |
| 2.799 | 31.97 | 35 |
| 2.645 | 33.89 | 28 |
| 2.474 | 36.31 | 46 |
| 2.333 | 38.59 | 27 |
| 2.113 | 42.80 | 19 |
| 1.650 | 55.69 | 32 |

Structural model:
```
data_KCr12Si8BrO28
_cell_length_a 9.9757
_cell_length_b 9.9757
_cell_length_c 9.9757
_cell_angle_alpha 115.94
_cell_angle_beta 115.94
_cell_angle_gamma 97.19
_symmetry_space_group_name_H-M 'P 1'
_symmetry_Int_Tables_number 1
loop_
_symmetry_equiv_pos_as_xyz
'x,y,z'
loop_
_atom_site_label
_atom_site_type_symbol
_atom_site_fract_x
_atom_site_fract_y
_atom_site_fract_z
K1 K 0.0000 0.0000 0.0000
Cr1 Cr 0.0117 0.2408 0.7709
Cr2 Cr 0.1420 0.4590 0.6830
Cr3 Cr 0.2408 0.0117 0.7709
Cr4 Cr 0.2408 0.4698 0.2291
Cr5 Cr 0.4496 0.6797 0.7699
Cr6 Cr 0.4590 0.1420 0.6830
Cr7 Cr 0.4590 0.7759 0.3170
Cr8 Cr 0.4698 0.2408 0.2291
Cr9 Cr 0.6797 0.4496 0.7699
Cr10 Cr 0.6797 0.9098 0.2301
Cr11 Cr 0.7759 0.4590 0.3170
Cr12 Cr 0.9098 0.6797 0.2301
Si1 Si 0.0687 0.0687 0.4430
Si2 Si 0.0687 0.6257 0.0000
Si3 Si 0.2944 0.2944 0.4453
Si4 Si 0.2944 0.8491 0.0000
Si5 Si 0.6257 0.0687 0.0000
Si6 Si 0.6257 0.6257 0.5570
Si7 Si 0.8491 0.2944 0.0000
Si8 Si 0.8491 0.8491 0.5547
Br1 Br 0.4332 0.4332 0.0000
O1 O 0.0145 0.0145 0.7119
O2 O 0.0145 0.3027 0.0000
O3 O 0.0303 0.2140 0.5637
O4 O 0.0303 0.4667 0.8164
O5 O 0.1320 0.1320 0.3445
O6 O 0.1320 0.7875 0.0000
O7 O 0.2140 0.0303 0.5637
O8 O 0.2140 0.6503 0.1836
O9 O 0.2697 0.4531 0.5659
O10 O 0.2697 0.7038 0.8166
O11 O 0.3027 0.0145 0.0000
O12 O 0.3027 0.3027 0.2881
O13 O 0.4531 0.2697 0.5659
O14 O 0.4531 0.8872 0.1834
O15 O 0.4667 0.0303 0.8164
O16 O 0.4667 0.6503 0.4363
O17 O 0.6141 0.6141 0.7107
O18 O 0.6141 0.9035 0.0000
O19 O 0.6503 0.2140 0.1836
O20 O 0.6503 0.4667 0.4363
O21 O 0.7038 0.2697 0.8166
O22 O 0.7038 0.8872 0.4341
O23 O 0.7875 0.1320 0.0000
O24 O 0.7875 0.7875 0.6555
O25 O 0.8872 0.4531 0.1834
O26 O 0.8872 0.7038 0.4341
O27 O 0.9035 0.6141 0.0000
O28 O 0.9035 0.9035 0.2893
```

(3)
Computed XRD peak list
Compound: NaCr12Si8BrO28
Radiation: Cu Kα (λ = 1.5418 Å)
Structure: a cell relaxed with GGA+U
Peak positions follow from Bragg's law for the DFT cell and can differ from measured ones.

Top 12 peaks for 2θ = 10–90°, sorted by position:
| d/Å | 2θ/deg | intensity |
| --- | --- | --- |
| 8.197 | 10.79 | 28 |
| 5.225 | 16.97 | 30 |
| 3.368 | 26.46 | 100 |
| 3.225 | 27.66 | 50 |
| 2.955 | 30.24 | 29 |
| 2.793 | 32.05 | 31 |
| 2.612 | 34.33 | 17 |
| 2.463 | 36.48 | 39 |
| 2.421 | 37.13 | 23 |
| 2.308 | 39.03 | 22 |
| 1.640 | 56.08 | 27 |
| 1.603 | 57.51 | 17 |

Structural model:
```
data_NaCr12Si8BrO28
_cell_length_a 9.9130
_cell_length_b 9.9130
_cell_length_c 9.9130
_cell_angle_alpha 116.39
_cell_angle_beta 116.39
_cell_angle_gamma 96.38
_symmetry_space_group_name_H-M 'P 1'
_symmetry_Int_Tables_number 1
loop_
_symmetry_equiv_pos_as_xyz
'x,y,z'
loop_
_atom_site_label
_atom_site_type_symbol
_atom_site_fract_x
_atom_site_fract_y
_atom_site_fract_z
Na1 Na 0.0000 0.0000 0.0000
Cr1 Cr 0.0168 0.2466 0.7702
Cr2 Cr 0.1362 0.4614 0.6748
Cr3 Cr 0.2466 0.0168 0.7702
Cr4 Cr 0.2466 0.4764 0.2298
Cr5 Cr 0.4471 0.6775 0.7696
Cr6 Cr 0.4614 0.1362 0.6748
Cr7 Cr 0.4614 0.7865 0.3252
Cr8 Cr 0.4764 0.2466 0.2298
Cr9 Cr 0.6775 0.4471 0.7696
Cr10 Cr 0.6775 0.9079 0.2304
Cr11 Cr 0.7865 0.4614 0.3252
Cr12 Cr 0.9079 0.6775 0.2304
Si1 Si 0.0670 0.0670 0.4335
Si2 Si 0.0670 0.6335 0.0000
Si3 Si 0.2907 0.2907 0.4356
Si4 Si 0.2907 0.8551 0.0000
Si5 Si 0.6335 0.0670 0.0000
Si6 Si 0.6335 0.6335 0.5665
Si7 Si 0.8551 0.2907 0.0000
Si8 Si 0.8551 0.8551 0.5644
Br1 Br 0.4373 0.4373 0.0000
O1 O 0.0218 0.0218 0.7163
O2 O 0.0218 0.3054 0.0000
O3 O 0.0298 0.2156 0.5566
O4 O 0.0298 0.4732 0.8142
O5 O 0.1249 0.1249 0.3261
O6 O 0.1249 0.7988 0.0000
O7 O 0.2156 0.0298 0.5566
O8 O 0.2156 0.6589 0.1858
O9 O 0.2648 0.4507 0.5579
O10 O 0.2648 0.7069 0.8142
O11 O 0.3054 0.0218 0.0000
O12 O 0.3054 0.3054 0.2837
O13 O 0.4507 0.2648 0.5579
O14 O 0.4507 0.8928 0.1858
O15 O 0.4732 0.0298 0.8142
O16 O 0.4732 0.6589 0.4434
O17 O 0.6156 0.6156 0.7148
O18 O 0.6156 0.9008 0.0000
O19 O 0.6589 0.2156 0.1858
O20 O 0.6589 0.4732 0.4434
O21 O 0.7069 0.2648 0.8142
O22 O 0.7069 0.8928 0.4421
O23 O 0.7988 0.1249 0.0000
O24 O 0.7988 0.7988 0.6739
O25 O 0.8928 0.4507 0.1858
O26 O 0.8928 0.7069 0.4421
O27 O 0.9008 0.6156 0.0000
O28 O 0.9008 0.9008 0.2852
```

(4)
Computed XRD peak list
Compound: CrBrO
Radiation: Cu Kα (λ = 1.5418 Å)
Structure: a cell relaxed with GGA+U
Peak positions follow from Bragg's law for the DFT cell and can differ from measured ones.

Top 12 peaks for 2θ = 10–90°, sorted by position:
| d/Å | 2θ/deg | intensity |
| --- | --- | --- |
| 3.607 | 24.68 | 100 |
| 3.136 | 28.46 | 11 |
| 2.956 | 30.23 | 15 |
| 2.674 | 33.51 | 53 |
| 2.456 | 36.59 | 21 |
| 2.216 | 40.72 | 51 |
| 1.974 | 45.97 | 19 |
| 1.933 | 47.00 | 44 |
| 1.676 | 54.78 | 17 |
| 1.588 | 58.07 | 19 |
| 1.520 | 60.94 | 15 |
| 1.475 | 63.04 | 13 |

Structural model:
```
data_CrBrO
_cell_length_a 3.3527
_cell_length_b 3.9488
_cell_length_c 8.8693
_cell_angle_alpha 90.00
_cell_angle_beta 90.00
_cell_angle_gamma 90.00
_symmetry_space_group_name_H-M 'P 1'
_symmetry_Int_Tables_number 1
loop_
_symmetry_equiv_pos_as_xyz
'x,y,z'
loop_
_atom_site_label
_atom_site_type_symbol
_atom_site_fract_x
_atom_site_fract_y
_atom_site_fract_z
Cr1 Cr 0.2500 0.2500 0.0945
Cr2 Cr 0.7500 0.7500 0.9055
Br1 Br 0.2500 0.7500 0.6943
Br2 Br 0.7500 0.2500 0.3057
O1 O 0.2500 0.7500 0.0457
O2 O 0.7500 0.2500 0.9543
```

(5)
Computed XRD peak list
Compound: Cr2PBrO4
Radiation: Cu Kα (λ = 1.5418 Å)
Structure: a cell relaxed with GGA+U
Peak positions follow from Bragg's law for the DFT cell and can differ from measured ones.

Top 12 peaks for 2θ = 10–90°, sorted by position:
| d/Å | 2θ/deg | intensity |
| --- | --- | --- |
| 5.707 | 15.53 | 18 |
| 3.168 | 28.16 | 38 |
| 3.139 | 28.44 | 100 |
| 3.061 | 29.17 | 22 |
| 2.966 | 30.13 | 67 |
| 2.837 | 31.53 | 39 |
| 2.781 | 32.19 | 50 |
| 2.593 | 34.60 | 17 |
| 2.477 | 36.27 | 18 |
| 2.220 | 40.64 | 26 |
| 2.167 | 41.67 | 32 |
| 1.635 | 56.25 | 16 |

Structural model:
```
data_Cr2PBrO4
_cell_length_a 6.5097
_cell_length_b 11.8616
_cell_length_c 6.3371
_cell_angle_alpha 90.00
_cell_angle_beta 90.60
_cell_angle_gamma 90.00
_symmetry_space_group_name_H-M 'P 1'
_symmetry_Int_Tables_number 1
loop_
_symmetry_equiv_pos_as_xyz
'x,y,z'
loop_
_atom_site_label
_atom_site_type_symbol
_atom_site_fract_x
_atom_site_fract_y
_atom_site_fract_z
Cr1 Cr 0.0322 0.1051 0.1521
Cr2 Cr 0.0322 0.3949 0.6521
Cr3 Cr 0.3576 0.6133 0.9943
Cr4 Cr 0.3576 0.8867 0.4943
Cr5 Cr 0.6424 0.1133 0.5057
Cr6 Cr 0.6424 0.3867 0.0057
Cr7 Cr 0.9678 0.6051 0.3479
Cr8 Cr 0.9678 0.8949 0.8479
P1 P 0.1426 0.1271 0.6343
P2 P 0.1426 0.3729 0.1343
P3 P 0.8574 0.6271 0.8657
P4 P 0.8574 0.8729 0.3657
Br1 Br 0.3719 0.6662 0.4899
Br2 Br 0.3719 0.8338 0.9899
Br3 Br 0.6281 0.1662 0.0101
Br4 Br 0.6281 0.3338 0.5101
O1 O 0.0408 0.6168 0.0290
O2 O 0.0408 0.8832 0.5290
O3 O 0.0821 0.0606 0.8378
O4 O 0.0821 0.4394 0.3378
O5 O 0.1903 0.2490 0.6821
O6 O 0.1903 0.2510 0.1821
O7 O 0.3331 0.0656 0.5324
O8 O 0.3331 0.4344 0.0324
O9 O 0.6669 0.5656 0.9676
O10 O 0.6669 0.9344 0.4676
O11 O 0.8097 0.7490 0.8179
O12 O 0.8097 0.7510 0.3179
O13 O 0.9179 0.5606 0.6622
O14 O 0.9179 0.9394 0.1622
O15 O 0.9592 0.1168 0.4710
O16 O 0.9592 0.3832 0.9710
```

Copy entry 5 word for word.
Computed XRD peak list
Compound: Cr2PBrO4
Radiation: Cu Kα (λ = 1.5418 Å)
Structure: a cell relaxed with GGA+U
Peak positions follow from Bragg's law for the DFT cell and can differ from measured ones.

Top 12 peaks for 2θ = 10–90°, sorted by position:
| d/Å | 2θ/deg | intensity |
| --- | --- | --- |
| 5.707 | 15.53 | 18 |
| 3.168 | 28.16 | 38 |
| 3.139 | 28.44 | 100 |
| 3.061 | 29.17 | 22 |
| 2.966 | 30.13 | 67 |
| 2.837 | 31.53 | 39 |
| 2.781 | 32.19 | 50 |
| 2.593 | 34.60 | 17 |
| 2.477 | 36.27 | 18 |
| 2.220 | 40.64 | 26 |
| 2.167 | 41.67 | 32 |
| 1.635 | 56.25 | 16 |

Structural model:
```
data_Cr2PBrO4
_cell_length_a 6.5097
_cell_length_b 11.8616
_cell_length_c 6.3371
_cell_angle_alpha 90.00
_cell_angle_beta 90.60
_cell_angle_gamma 90.00
_symmetry_space_group_name_H-M 'P 1'
_symmetry_Int_Tables_number 1
loop_
_symmetry_equiv_pos_as_xyz
'x,y,z'
loop_
_atom_site_label
_atom_site_type_symbol
_atom_site_fract_x
_atom_site_fract_y
_atom_site_fract_z
Cr1 Cr 0.0322 0.1051 0.1521
Cr2 Cr 0.0322 0.3949 0.6521
Cr3 Cr 0.3576 0.6133 0.9943
Cr4 Cr 0.3576 0.8867 0.4943
Cr5 Cr 0.6424 0.1133 0.5057
Cr6 Cr 0.6424 0.3867 0.0057
Cr7 Cr 0.9678 0.6051 0.3479
Cr8 Cr 0.9678 0.8949 0.8479
P1 P 0.1426 0.1271 0.6343
P2 P 0.1426 0.3729 0.1343
P3 P 0.8574 0.6271 0.8657
P4 P 0.8574 0.8729 0.3657
Br1 Br 0.3719 0.6662 0.4899
Br2 Br 0.3719 0.8338 0.9899
Br3 Br 0.6281 0.1662 0.0101
Br4 Br 0.6281 0.3338 0.5101
O1 O 0.0408 0.6168 0.0290
O2 O 0.0408 0.8832 0.5290
O3 O 0.0821 0.0606 0.8378
O4 O 0.0821 0.4394 0.3378
O5 O 0.1903 0.2490 0.6821
O6 O 0.1903 0.2510 0.1821
O7 O 0.3331 0.0656 0.5324
O8 O 0.3331 0.4344 0.0324
O9 O 0.6669 0.5656 0.9676
O10 O 0.6669 0.9344 0.4676
O11 O 0.8097 0.7490 0.8179
O12 O 0.8097 0.7510 0.3179
O13 O 0.9179 0.5606 0.6622
O14 O 0.9179 0.9394 0.1622
O15 O 0.9592 0.1168 0.4710
O16 O 0.9592 0.3832 0.9710
```

What is the formula in the third record?
NaCr12Si8BrO28